# K2Rb6O
Theoretical powder diffraction line list, λ = 1.5418 Å (Cu Kα). Input: a crystal structure in Alexandria, relaxed with GGA-PBE.

Crystal structure
```
data_K2Rb6O
_symmetry_space_group_name_H-M 'R 3 m'
_symmetry_Int_Tables_number 160
_symmetry_space_group_name_Hall 'R 3 -2"'
_cell_length_a 9.2794
_cell_length_b 9.2794
_cell_length_c 24.0636
_cell_angle_alpha 90.00
_cell_angle_beta 90.00
_cell_angle_gamma 120.00
loop_
_atom_site_label
_atom_site_fract_x
_atom_site_fract_y
_atom_site_fract_z
K1 0.0000 0.0000 0.0000
K2 0.0000 0.0000 0.1876
Rb1 0.1935 0.3870 0.4808
Rb2 0.1947 0.3894 0.3311
O1 0.0000 0.0000 0.7384
```

Principal peaks in the range 10 to 90 degrees two-theta, sorted by position:
2theta, I (rel.), hkl
11.6, 45, 1 0 1
13.2, 23, 0 1 2
22.2, 44, 0 0 6
22.4, 100, 0 2 1
23.3, 36, 2 0 2
28.9, 38, 2 0 5
34.3, 36, 0 2 7
40.5, 24, 0 3 6